Entry 1:
For Tb4DyZn2, DFT lattice parameters and positions (PBE) gives the theoretical X-ray powder pattern in this record (Cu Kα).

Structural model:
a = 4.9806 Å, b = 4.9806 Å, c = 29.3546 Å
α = 90.00°, β = 90.00°, γ = 120.00°
Space group R-3m (No. 166, hexagonal axes)
Unique sites:
Tb: 0.0000 0.0000 0.1016 [6 per cell]
Tb: 0.0000 0.0000 0.2978 [6 per cell]
Dy: 0.0000 0.0000 0.5000 [3 per cell]
Zn: 0.0000 0.0000 0.4001 [6 per cell]

Peak list (10 most intense, 10° ≤ 2θ ≤ 80°, in order of falling intensity)
2θ (°)  I_rel
25.63  1000
36.07  863
37.04  794
65.49  297
52.66  288
44.77  227
58.78  205
60.13  186
64.85  155
67.40  135

=====

Entry 2:
For Tb3Dy4Zr, DFT lattice parameters and positions (PBE) gives the theoretical X-ray powder pattern in this record (Cu Kα).

Structural model:
a = 22.595 Å, b = 3.397 Å, c = 6.731 Å
α = 90.00°, β = 107.33°, γ = 90.00°
Space group C2/m (No. 12)
Unique sites:
Tb: 0.000 0.000 0.000 [2 per cell]
Tb: 0.120 0.000 0.854 [4 per cell]
Dy: 0.120 0.000 0.387 [4 per cell]
Dy: 0.242 0.500 0.741 [4 per cell]
Zr: 0.000 0.500 0.500 [2 per cell]

Peak list (10 most intense, 10° ≤ 2θ ≤ 80°, in order of falling intensity)
2θ (°)  I_rel
31.33  1000
33.92  462
33.23  413
26.57  286
63.77  261
29.46  215
39.73  196
33.58  168
58.19  147
37.86  141